Calculated powder diffraction line list
Compound: Eu3B2O6F3
Radiation: Cu Kα (λ = 1.5418 Å)
Structure: the GGA-PBE geometry in Alexandria
Kinematic intensities with the Lorentz-polarization factor, no thermal factor.

Atomic structure:
a b c (Å): 7.3640 7.3640 8.3611
angles (deg): 96.28 96.28 51.35
Fractional coordinates of all 28 atoms:
Eu (0.0955, 0.9045, 0.7500)
Eu (0.2274, 0.4317, 0.3207)
Eu (0.4317, 0.2274, 0.8207)
Eu (0.5683, 0.7726, 0.1793)
Eu (0.7726, 0.5683, 0.6793)
Eu (0.9045, 0.0955, 0.2500)
B (0.0895, 0.2727, 0.0232)
B (0.2727, 0.0895, 0.5232)
B (0.7273, 0.9105, 0.4768)
B (0.9105, 0.7273, 0.9768)
O (0.0367, 0.2608, 0.8615)
O (0.0710, 0.6254, 0.8604)
O (0.2052, 0.3105, 0.5712)
O (0.2608, 0.0367, 0.3615)
O (0.3105, 0.2052, 0.0712)
O (0.3746, 0.9290, 0.6396)
O (0.6254, 0.0710, 0.3604)
O (0.6895, 0.7948, 0.9288)
O (0.7392, 0.9633, 0.6385)
O (0.7948, 0.6895, 0.4288)
O (0.9290, 0.3746, 0.1396)
O (0.9633, 0.7392, 0.1385)
F (0.1248, 0.7696, 0.4605)
F (0.2304, 0.8752, 0.0395)
F (0.4738, 0.5262, 0.7500)
F (0.5262, 0.4738, 0.2500)
F (0.7696, 0.1248, 0.9605)
F (0.8752, 0.2304, 0.5395)

Top 10 peaks for 2θ = 10–90°, sorted by position:
| d [Å] | 2θ (°) | I/Imax |
| --- | --- | --- |
| 4.150 | 21.41 | 62 |
| 3.618 | 24.61 | 100 |
| 3.447 | 25.85 | 76 |
| 3.334 | 26.74 | 32 |
| 3.200 | 27.88 | 47 |
| 2.978 | 30.01 | 82 |
| 2.873 | 31.13 | 40 |
| 2.196 | 41.10 | 32 |
| 1.887 | 48.22 | 29 |
| 1.844 | 49.44 | 56 |